Simulated powder XRD pattern
Compound: Pm2Zn3Pd
Radiation: Cu Ka
Structure: a cell relaxed with GGA-PBE

Principal peaks in the range 2θ = 10–90°, low angle first:
33.70°, I 490, (2 0 4)
33.85°, I 1000, (2 2 2)
39.63°, I 588, (0 2 6)
40.04°, I 286, (0 4 0)
50.78°, I 141, (4 0 0)
52.86°, I 143, (2 0 8)
53.30°, I 263, (2 4 4)
66.27°, I 247, (4 2 6)
68.32°, I 130, (2 4 8)
68.79°, I 124, (2 6 2)

```
data_Pm2Zn3Pd
_cell_length_a 7.1914
_cell_length_b 9.0082
_cell_length_c 15.8096
_cell_angle_alpha 90.00
_cell_angle_beta 90.00
_cell_angle_gamma 90.00
_space_group_name_H-M_alt 'F m m m'
_space_group_IT_number 69
_space_group_name_Hall '-F 2 2'
loop_
_atom_site_label
_atom_site_type_symbol
_atom_site_fract_x
_atom_site_fract_y
_atom_site_fract_z
Pm1 Pm 0.2425 0.0000 0.0000
Pm2 Pm 0.2500 0.2500 0.2500
Zn1 Zn 0.0000 0.0000 0.3354
Zn2 Zn 0.0000 0.2489 0.4176
Pd1 Pd 0.0000 0.0000 0.1689
```

Simulated powder XRD pattern
Compound: PmZn9Pd2
Radiation: Cu Ka
Structure: a cell relaxed with GGA-PBE

Principal peaks in the range 2θ = 10–90°, low angle first:
33.07°, I 549, (3 2 1)
37.27°, I 1000, (3 1 2)
37.93°, I 711, (4 2 0)
39.86°, I 407, (1 0 3)
43.50°, I 225, (2 1 3)
44.66°, I 647, (5 0 1)
46.36°, I 473, (4 2 2)
58.59°, I 222, (2 2 4)
68.08°, I 301, (5 5 2)
73.21°, I 197, (3 0 5)

```
data_PmZn9Pd2
_cell_length_a 10.6080
_cell_length_b 10.6080
_cell_length_c 6.9450
_cell_angle_alpha 90.00
_cell_angle_beta 90.00
_cell_angle_gamma 90.00
_space_group_name_H-M_alt 'I 41/a m d'
_space_group_IT_number 141
loop_
_space_group_symop_operation_xyz
'x,y,z'
'-x,-y,-z'
'-y+1/4,x+3/4,z+1/4'
'y+1/4,-x+3/4,-z+1/4'
'-x+1/2,-y,z+1/2'
'x+1/2,y,-z+1/2'
'y+1/4,-x+1/4,z+3/4'
'-y+1/4,x+1/4,-z+3/4'
'x,-y,-z'
'-x,y,z'
'-y+1/4,-x+1/4,-z+3/4'
'y+1/4,x+1/4,z+3/4'
'-x+1/2,y,-z+1/2'
'x+1/2,-y,z+1/2'
'y+1/4,x+3/4,-z+1/4'
'-y+1/4,-x+3/4,z+1/4'
'x+1/2,y+1/2,z+1/2'
'-x+1/2,-y+1/2,-z+1/2'
'-y+3/4,x+1/4,z+3/4'
'y+3/4,-x+1/4,-z+3/4'
'-x,-y+1/2,z'
'x,y+1/2,-z'
'y+3/4,-x+3/4,z+1/4'
'-y+3/4,x+3/4,-z+1/4'
'x+1/2,-y+1/2,-z+1/2'
'-x+1/2,y+1/2,z+1/2'
'-y+3/4,-x+3/4,-z+1/4'
'y+3/4,x+3/4,z+1/4'
'-x,y+1/2,-z'
'x,-y+1/2,z'
'y+3/4,x+1/4,-z+3/4'
'-y+3/4,-x+1/4,z+3/4'
loop_
_atom_site_label
_atom_site_type_symbol
_atom_site_fract_x
_atom_site_fract_y
_atom_site_fract_z
Pm1 Pm 0.0000 0.2500 0.3750
Zn1 Zn 0.0000 0.2500 0.8750
Zn2 Zn 0.1212 0.0436 0.6773
Pd1 Pd 0.0000 0.0000 0.0000
```

Please write out number 2 again, unchanged.
Simulated powder XRD pattern
Compound: PmZn9Pd2
Radiation: Cu Ka
Structure: a cell relaxed with GGA-PBE

Principal peaks in the range 2θ = 10–90°, low angle first:
33.07°, I 549, (3 2 1)
37.27°, I 1000, (3 1 2)
37.93°, I 711, (4 2 0)
39.86°, I 407, (1 0 3)
43.50°, I 225, (2 1 3)
44.66°, I 647, (5 0 1)
46.36°, I 473, (4 2 2)
58.59°, I 222, (2 2 4)
68.08°, I 301, (5 5 2)
73.21°, I 197, (3 0 5)

```
data_PmZn9Pd2
_cell_length_a 10.6080
_cell_length_b 10.6080
_cell_length_c 6.9450
_cell_angle_alpha 90.00
_cell_angle_beta 90.00
_cell_angle_gamma 90.00
_space_group_name_H-M_alt 'I 41/a m d'
_space_group_IT_number 141
loop_
_space_group_symop_operation_xyz
'x,y,z'
'-x,-y,-z'
'-y+1/4,x+3/4,z+1/4'
'y+1/4,-x+3/4,-z+1/4'
'-x+1/2,-y,z+1/2'
'x+1/2,y,-z+1/2'
'y+1/4,-x+1/4,z+3/4'
'-y+1/4,x+1/4,-z+3/4'
'x,-y,-z'
'-x,y,z'
'-y+1/4,-x+1/4,-z+3/4'
'y+1/4,x+1/4,z+3/4'
'-x+1/2,y,-z+1/2'
'x+1/2,-y,z+1/2'
'y+1/4,x+3/4,-z+1/4'
'-y+1/4,-x+3/4,z+1/4'
'x+1/2,y+1/2,z+1/2'
'-x+1/2,-y+1/2,-z+1/2'
'-y+3/4,x+1/4,z+3/4'
'y+3/4,-x+1/4,-z+3/4'
'-x,-y+1/2,z'
'x,y+1/2,-z'
'y+3/4,-x+3/4,z+1/4'
'-y+3/4,x+3/4,-z+1/4'
'x+1/2,-y+1/2,-z+1/2'
'-x+1/2,y+1/2,z+1/2'
'-y+3/4,-x+3/4,-z+1/4'
'y+3/4,x+3/4,z+1/4'
'-x,y+1/2,-z'
'x,-y+1/2,z'
'y+3/4,x+1/4,-z+3/4'
'-y+3/4,-x+1/4,z+3/4'
loop_
_atom_site_label
_atom_site_type_symbol
_atom_site_fract_x
_atom_site_fract_y
_atom_site_fract_z
Pm1 Pm 0.0000 0.2500 0.3750
Zn1 Zn 0.0000 0.2500 0.8750
Zn2 Zn 0.1212 0.0436 0.6773
Pd1 Pd 0.0000 0.0000 0.0000
```